Entry 1:
The following is a calculated powder XRD pattern of InCu3Pd3. It was derived from the GGA-PBE geometry in Alexandria, using copper Kα.
Kinematic intensities with the Lorentz-polarization factor, no thermal factor.

Most intense lines, 10 to 80 degrees two-theta, in order of rising 2θ:
| 2theta | I (rel.) |
| --- | --- |
| 21.07 | 8 |
| 33.48 | 12 |
| 33.71 | 13 |
| 41.22 | 29 |
| 42.67 | 100 |
| 42.90 | 21 |
| 44.75 | 7 |
| 61.00 | 14 |
| 62.86 | 8 |
| 76.14 | 16 |
| 77.98 | 8 |
| 78.44 | 10 |

Cell and atoms:
a = 6.080 Å, b = 6.080 Å, c = 5.913 Å
α = 90.00°, β = 90.00°, γ = 92.18°
Fractional coordinates of all 14 atoms:
In1 0.213 0.213 0.000
In2 0.787 0.787 0.000
Cu1 0.216 0.216 0.500
Cu2 0.226 0.774 0.500
Cu3 0.249 0.751 0.000
Cu4 0.751 0.249 0.000
Cu5 0.774 0.226 0.500
Cu6 0.784 0.784 0.500
Pd1 0.000 0.500 0.259
Pd2 0.000 0.500 0.741
Pd3 0.500 0.000 0.259
Pd4 0.500 0.000 0.741
Pd5 0.500 0.500 0.263
Pd6 0.500 0.500 0.737

---

Entry 2:
The following is a calculated powder XRD pattern of InCu3Pd12. It was derived from the GGA-PBE geometry in Alexandria, using copper Kα.
Kinematic intensities with the Lorentz-polarization factor, no thermal factor.

Most intense lines, 10 to 80 degrees two-theta, in order of rising 2θ:
| 2theta | I (rel.) |
| --- | --- |
| 22.64 | 1 |
| 32.23 | 1 |
| 36.62 | 1 |
| 39.75 | 100 |
| 40.29 | 1 |
| 43.51 | 1 |
| 46.16 | 33 |
| 46.36 | 15 |
| 62.93 | 1 |
| 67.34 | 10 |
| 67.50 | 19 |
| 74.91 | 1 |

Cell and atoms:
a = 3.933 Å, b = 3.933 Å, c = 15.668 Å
α = 90.00°, β = 90.00°, γ = 90.00°
Fractional coordinates of all 16 atoms:
In1 0.000 0.000 0.000
Cu1 0.000 0.000 0.255
Cu2 0.000 0.000 0.500
Cu3 0.000 0.000 0.745
Pd1 0.000 0.500 0.133
Pd2 0.000 0.500 0.378
Pd3 0.000 0.500 0.622
Pd4 0.000 0.500 0.867
Pd5 0.500 0.000 0.133
Pd6 0.500 0.000 0.378
Pd7 0.500 0.000 0.622
Pd8 0.500 0.000 0.867
Pd9 0.500 0.500 0.000
Pd10 0.500 0.500 0.256
Pd11 0.500 0.500 0.500
Pd12 0.500 0.500 0.744

---

Entry 3:
The following is a calculated powder XRD pattern of InCu3Pd5. It was derived from the GGA-PBE geometry in Alexandria, using copper Kα.
Kinematic intensities with the Lorentz-polarization factor, no thermal factor.

Most intense lines, 10 to 80 degrees two-theta, in order of rising 2θ:
| 2theta | I (rel.) |
| --- | --- |
| 25.09 | 49 |
| 25.71 | 37 |
| 35.13 | 100 |
| 36.23 | 53 |
| 36.44 | 96 |
| 38.75 | 47 |
| 40.32 | 38 |
| 43.32 | 46 |
| 43.86 | 45 |
| 44.02 | 50 |
| 44.22 | 60 |
| 50.95 | 44 |

Cell and atoms:
a = 5.454 Å, b = 5.454 Å, c = 10.466 Å
α = 95.12°, β = 95.12°, γ = 81.19°
Fractional coordinates of all 18 atoms:
In1 0.051 0.051 0.264
In2 0.949 0.949 0.736
Cu1 0.000 0.000 0.000
Cu2 0.000 0.000 0.500
Cu3 0.252 0.252 0.873
Cu4 0.321 0.321 0.483
Cu5 0.679 0.679 0.517
Cu6 0.748 0.748 0.127
Pd1 0.012 0.588 0.334
Pd2 0.277 0.277 0.119
Pd3 0.321 0.679 0.000
Pd4 0.412 0.988 0.666
Pd5 0.476 0.476 0.705
Pd6 0.524 0.524 0.295
Pd7 0.588 0.012 0.334
Pd8 0.679 0.321 0.000
Pd9 0.723 0.723 0.881
Pd10 0.988 0.412 0.666